For Hf3Co4As4, a DFT-relaxed cell (GGA-PBE, OQMD) gives the simulated powder X-ray diffraction pattern in this record (Cu Kα (λ = 1.5418 Å)).
Neutral-atom scattering factors, no anomalous dispersion.

Most intense lines, 5° ≤ 2θ ≤ 70°, most intense first:
d (Å)  I (rel.)
2.297  100
2.317  96
2.404  84
1.917  78
2.024  57
2.427  52
2.388  36
7.150  33
6.317  31
2.437  30

Crystal structure
a = 6.3180 Å, b = 3.8326 Å, c = 7.1509 Å
α = 90.00°, β = 91.03°, γ = 90.00°
Element x y z (fractional)
Hf1 0.0000 0.0000 0.0000
Hf2 0.0440 0.5000 0.6232
Hf3 0.5309 0.5000 0.4811
Co1 0.1352 0.5000 0.2478
Co2 0.3507 0.0000 0.7433
Co3 0.6652 0.5000 0.8589
Co4 0.8626 0.0000 0.3692
As1 0.2482 0.0000 0.3977
As2 0.3083 0.5000 0.9450
As3 0.7379 0.0000 0.6882
As4 0.7602 0.5000 0.1767

=====

For Hf4CoAsN2, a DFT-relaxed cell (GGA-PBE, OQMD) gives the simulated powder X-ray diffraction pattern in this record (Cu Kα (λ = 1.5418 Å)).
Neutral-atom scattering factors, no anomalous dispersion.

Most intense lines, 5° ≤ 2θ ≤ 70°, most intense first:
d (Å)  I (rel.)
2.353  100
2.832  27
1.635  25
2.114  20
2.764  18
3.173  13
1.527  12
1.695  10
1.453  8
6.346  4

Crystal structure
a = 3.2697 Å, b = 3.2697 Å, c = 12.6913 Å
α = 90.00°, β = 90.00°, γ = 120.00°
Element x y z (fractional)
Hf1 0.0000 0.0000 0.1464
Hf2 0.0000 0.0000 0.8536
Hf3 0.6667 0.3333 0.3481
Hf4 0.6667 0.3333 0.6519
Co1 0.6667 0.3333 0.0000
As1 0.0000 0.0000 0.5000
N1 0.3333 0.6667 0.2497
N2 0.3333 0.6667 0.7503

=====

For Hf4Co2AsP, a DFT-relaxed cell (GGA-PBE, OQMD) gives the simulated powder X-ray diffraction pattern in this record (Cu Kα (λ = 1.5418 Å)).
Neutral-atom scattering factors, no anomalous dispersion.

Most intense lines, 5° ≤ 2θ ≤ 70°, most intense first:
d (Å)  I (rel.)
2.521  100
2.909  40
2.440  26
2.466  24
2.456  23
1.881  19
1.812  19
2.024  18
2.039  16
2.033  16

Crystal structure
a = 5.2381 Å, b = 3.6235 Å, c = 7.4446 Å
α = 90.00°, β = 109.67°, γ = 90.00°
Element x y z (fractional)
Hf1 0.0000 0.0000 0.0000
Hf2 0.0602 0.5000 0.6351
Hf3 0.4616 0.0000 0.4663
Hf4 0.5365 0.5000 0.1239
Co1 0.1215 0.5000 0.2686
Co2 0.3914 0.0000 0.8524
As1 0.6300 0.5000 0.7658
P1 0.8998 0.0000 0.3467

=====

For HfZr2Co2As4Pd2, a DFT-relaxed cell (GGA-PBE, OQMD) gives the simulated powder X-ray diffraction pattern in this record (Cu Kα (λ = 1.5418 Å)).
Neutral-atom scattering factors, no anomalous dispersion.

Most intense lines, 5° ≤ 2θ ≤ 70°, most intense first:
d (Å)  I (rel.)
2.394  100
2.464  100
2.085  69
1.951  64
2.507  60
2.358  47
2.333  34
2.002  29
6.550  28
4.985  28

Crystal structure
a = 6.5538 Å, b = 3.9010 Å, c = 7.4040 Å
α = 90.00°, β = 91.84°, γ = 90.00°
Element x y z (fractional)
Hf1 0.0000 0.0000 0.0000
Zr1 0.0550 0.5000 0.6162
Zr2 0.5439 0.5000 0.4758
Co1 0.1452 0.5000 0.2508
Co2 0.8938 0.0000 0.3572
As1 0.2637 0.0000 0.3845
As2 0.2862 0.5000 0.9566
As3 0.7698 0.0000 0.6624
As4 0.7877 0.5000 0.1954
Pd1 0.3657 0.0000 0.7434
Pd2 0.6744 0.5000 0.8716

=====

- Number 3 is which compound?
  Hf4Co2AsP